1.
Calculated powder X-ray diffraction pattern of CsAlNiF6 for Cu Kα, 1.54184 Å, from a PBE+U-relaxed structure.
Lines closer than 0.1° are merged.

Atomic structure:
```
data_CsAlNiF6
_chemical_formula_sum 'Cs2 Al2 Ni2 F12'
_symmetry_space_group_name_H-M 'P 1'
_symmetry_Int_Tables_number 1
_cell_length_a 7.236
_cell_length_b 7.236
_cell_length_c 7.236
_cell_angle_alpha 120.80
_cell_angle_beta 119.08
_cell_angle_gamma 90.11
loop_
_symmetry_equiv_pos_as_xyz
'x,y,z'
loop_
_atom_site_label
_atom_site_type_symbol
_atom_site_fract_x
_atom_site_fract_y
_atom_site_fract_z
_atom_site_occupancy
Cs1 Cs 0.375 0.125 0.250 1
Cs2 Cs 0.625 0.875 0.750 1
Al1 Al 0.000 0.000 0.500 1
Al2 Al 0.000 0.500 0.000 1
Ni1 Ni 0.000 0.500 0.500 1
Ni2 Ni 0.500 0.500 0.000 1
F1 F 0.050 0.800 0.250 1
F2 F 0.057 0.422 0.221 1
F3 F 0.057 0.836 0.634 1
F4 F 0.299 0.164 0.721 1
F5 F 0.299 0.578 0.134 1
F6 F 0.331 0.581 0.750 1
F7 F 0.669 0.419 0.250 1
F8 F 0.701 0.422 0.866 1
F9 F 0.701 0.836 0.279 1
F10 F 0.943 0.164 0.366 1
F11 F 0.943 0.578 0.779 1
F12 F 0.950 0.200 0.750 1
```

Principal peaks in the range 2θ = 15–90°, by angle:
Position (°2θ), I_rel
24.6, 74
24.9, 29
28.7, 100
28.9, 33
29.0, 51
29.1, 70
35.1, 26
46.5, 25
50.5, 58
56.9, 28

2.
Calculated powder X-ray diffraction pattern of MgCr3S6O24 for Cu Kα, 1.54184 Å, from a PBE+U-relaxed structure.
Lines closer than 0.1° are merged.

Atomic structure:
```
data_MgCr3S6O24
_chemical_formula_sum 'Mg1 Cr3 S6 O24'
_symmetry_space_group_name_H-M 'P 1'
_symmetry_Int_Tables_number 1
_cell_length_a 8.450
_cell_length_b 8.457
_cell_length_c 8.660
_cell_angle_alpha 61.00
_cell_angle_beta 60.90
_cell_angle_gamma 60.12
loop_
_symmetry_equiv_pos_as_xyz
'x,y,z'
loop_
_atom_site_label
_atom_site_type_symbol
_atom_site_fract_x
_atom_site_fract_y
_atom_site_fract_z
_atom_site_occupancy
Mg1 Mg 0.000 0.000 0.000 1
Cr1 Cr 0.139 0.138 0.562 1
Cr2 Cr 0.635 0.634 0.074 1
Cr3 Cr 0.845 0.846 0.439 1
S1 S 0.017 0.451 0.762 1
S2 S 0.241 0.961 0.238 1
S3 S 0.449 0.750 0.763 1
S4 S 0.537 0.240 0.238 1
S5 S 0.751 0.015 0.763 1
S6 S 0.960 0.536 0.241 1
O1 O 0.080 0.245 0.761 1
O2 O 0.096 0.889 0.247 1
O3 O 0.131 0.523 0.081 1
O4 O 0.160 0.480 0.779 1
O5 O 0.174 0.991 0.419 1
O6 O 0.244 0.894 0.762 1
O7 O 0.246 0.129 0.077 1
O8 O 0.394 0.175 0.419 1
O9 O 0.427 0.797 0.236 1
O10 O 0.460 0.762 0.925 1
O11 O 0.477 0.563 0.777 1
O12 O 0.518 0.427 0.235 1
O13 O 0.522 0.245 0.078 1
O14 O 0.562 0.158 0.778 1
O15 O 0.585 0.835 0.586 1
O16 O 0.743 0.096 0.248 1
O17 O 0.763 0.831 0.922 1
O18 O 0.798 0.515 0.235 1
O19 O 0.831 0.461 0.922 1
O20 O 0.834 0.974 0.583 1
O21 O 0.886 0.740 0.253 1
O22 O 0.894 0.079 0.762 1
O23 O 0.975 0.586 0.584 1
O24 O 0.989 0.391 0.422 1
```

Principal peaks in the range 2θ = 15–90°, by angle:
Position (°2θ), I_rel
20.5, 15
21.0, 8
24.4, 100
29.5, 21
32.6, 19
32.7, 16
32.8, 17
36.8, 10
47.1, 8
57.6, 7

3.
Calculated powder X-ray diffraction pattern of Li2FePCO7 for Cu Kα, 1.54184 Å, from a PBE+U-relaxed structure.
Lines closer than 0.1° are merged.

Atomic structure:
```
data_Li2FePCO7
_chemical_formula_sum 'Li4 Fe2 P2 C2 O14'
_symmetry_space_group_name_H-M 'P 1'
_symmetry_Int_Tables_number 1
_cell_length_a 5.064
_cell_length_b 6.426
_cell_length_c 8.506
_cell_angle_alpha 96.28
_cell_angle_beta 95.97
_cell_angle_gamma 92.85
loop_
_symmetry_equiv_pos_as_xyz
'x,y,z'
loop_
_atom_site_label
_atom_site_type_symbol
_atom_site_fract_x
_atom_site_fract_y
_atom_site_fract_z
_atom_site_occupancy
Li1 Li 0.000 0.000 0.000 1
Li2 Li 0.047 0.606 0.668 1
Li3 Li 0.553 0.878 0.500 1
Li4 Li 0.890 0.435 0.999 1
Fe1 Fe 0.087 0.220 0.417 1
Fe2 Fe 0.462 0.706 0.094 1
P1 P 0.006 0.708 0.329 1
P2 P 0.542 0.215 0.177 1
C1 C 0.579 0.710 0.808 1
C2 C 0.959 0.196 0.696 1
O1 O 0.023 0.534 0.439 1
O2 O 0.114 0.634 0.168 1
O3 O 0.174 0.905 0.413 1
O4 O 0.178 0.290 0.659 1
O5 O 0.333 0.699 0.840 1
O6 O 0.387 0.013 0.089 1
O7 O 0.426 0.276 0.334 1
O8 O 0.525 0.394 0.068 1
O9 O 0.655 0.702 0.671 1
O10 O 0.709 0.760 0.294 1
O11 O 0.756 0.726 0.938 1
O12 O 0.797 0.119 0.572 1
O13 O 0.845 0.172 0.206 1
O14 O 0.912 0.191 0.840 1
```

Principal peaks in the range 2θ = 15–90°, by angle:
Position (°2θ), I_rel
16.5, 35
18.4, 26
19.6, 43
21.6, 87
24.4, 22
26.1, 48
27.0, 23
28.0, 100
33.7, 22
36.2, 29